[1]
The following is a theoretical powder X-ray diffraction pattern of PmPr2In2Ag2. It was derived from the GGA-PBE geometry in Alexandria, using Cu Kα, 1.54184 Å.
Peak positions follow from Bragg's law for the DFT cell and can differ from measured ones.

a = 9.6096 Å, b = 9.6096 Å, c = 9.6096 Å
α = 29.67°, β = 29.67°, γ = 29.67°
Positions (direct):
Pm: 0.0000 0.0000 0.0000
Pr: 0.1260 0.1260 0.1260
Pr: 0.8740 0.8740 0.8740
In: 0.2640 0.2640 0.2640
In: 0.7360 0.7360 0.7360
Ag: 0.3948 0.3948 0.3948
Ag: 0.6052 0.6052 0.6052

The 10 most intense peaks (10 to 80 degrees two-theta), low angle first:
two_theta, d (Å), I (rel.)
21.09, 4.212, 111
30.93, 2.891, 514
33.46, 2.678, 857
36.51, 2.461, 1000
48.59, 1.874, 145
50.36, 1.812, 266
62.28, 1.491, 136
63.19, 1.472, 307
63.79, 1.459, 258
65.72, 1.421, 173



[2]
The following is a theoretical powder X-ray diffraction pattern of Pm3InAg3S8. It was derived from the GGA-PBE geometry in Alexandria, using Cu Kα, 1.54184 Å.
Peak positions follow from Bragg's law for the DFT cell and can differ from measured ones.

a = 7.6540 Å, b = 7.6540 Å, c = 7.8862 Å
α = 117.08°, β = 117.08°, γ = 64.65°
Positions (direct):
Pm: 0.0000 0.0000 0.0000
Pm: 0.0000 0.5000 0.5000
Pm: 0.5000 0.0000 0.5000
In: 0.5000 0.5000 0.0000
Ag: 0.0000 0.5000 0.0000
Ag: 0.5000 0.0000 0.0000
Ag: 0.5000 0.5000 0.5000
S: 0.2531 0.2531 0.2624
S: 0.2556 0.7282 0.2288
S: 0.2590 0.2590 0.7608
S: 0.2718 0.7444 0.7712
S: 0.7282 0.2556 0.2288
S: 0.7410 0.7410 0.2392
S: 0.7444 0.2718 0.7712
S: 0.7469 0.7469 0.7376

The 10 most intense peaks (10 to 80 degrees two-theta), low angle first:
two_theta, d (Å), I (rel.)
26.84, 3.322, 229
27.25, 3.272, 423
29.11, 3.067, 179
31.56, 2.834, 1000
32.87, 2.724, 447
44.26, 2.046, 194
44.72, 2.026, 361
46.21, 1.965, 165
47.68, 1.907, 305
56.22, 1.636, 180



[3]
The following is a theoretical powder X-ray diffraction pattern of TbPm2In2Ag2. It was derived from the GGA-PBE geometry in Alexandria, using Cu Kα, 1.54184 Å.
Peak positions follow from Bragg's law for the DFT cell and can differ from measured ones.

a = 9.4804 Å, b = 9.4804 Å, c = 9.4804 Å
α = 29.78°, β = 29.78°, γ = 29.78°
Positions (direct):
Tb: 0.0000 0.0000 0.0000
Pm: 0.1256 0.1256 0.1256
Pm: 0.8744 0.8744 0.8744
In: 0.2635 0.2635 0.2635
In: 0.7365 0.7365 0.7365
Ag: 0.3928 0.3928 0.3928
Ag: 0.6072 0.6072 0.6072

The 10 most intense peaks (10 to 80 degrees two-theta), low angle first:
two_theta, d (Å), I (rel.)
21.31, 4.169, 137
31.32, 2.856, 470
33.89, 2.645, 914
36.90, 2.436, 1000
49.16, 1.853, 133
50.96, 1.792, 284
63.02, 1.475, 125
64.08, 1.453, 280
64.56, 1.443, 275
66.48, 1.406, 172



[4]
The following is a theoretical powder X-ray diffraction pattern of Tb2PmIn2Ag2. It was derived from the GGA-PBE geometry in Alexandria, using Cu Kα, 1.54184 Å.
Peak positions follow from Bragg's law for the DFT cell and can differ from measured ones.

a = 9.3912 Å, b = 9.3912 Å, c = 9.3912 Å
α = 30.13°, β = 30.13°, γ = 30.13°
Positions (direct):
Tb: 0.1266 0.1266 0.1266
Tb: 0.8734 0.8734 0.8734
Pm: 0.0000 0.0000 0.0000
In: 0.2590 0.2590 0.2590
In: 0.7410 0.7410 0.7410
Ag: 0.4019 0.4019 0.4019
Ag: 0.5981 0.5981 0.5981

The 10 most intense peaks (10 to 80 degrees two-theta), low angle first:
two_theta, d (Å), I (rel.)
19.82, 4.479, 116
21.27, 4.177, 136
31.47, 2.842, 567
34.09, 2.630, 755
36.82, 2.441, 1000
49.20, 1.852, 161
51.02, 1.790, 335
63.00, 1.475, 152
64.54, 1.444, 514
66.32, 1.409, 173



[5]
The following is a theoretical powder X-ray diffraction pattern of Pm2ThIn2Ag2. It was derived from the GGA-PBE geometry in Alexandria, using Cu Kα, 1.54184 Å.
Peak positions follow from Bragg's law for the DFT cell and can differ from measured ones.

a = 9.5862 Å, b = 9.5862 Å, c = 9.5862 Å
α = 29.61°, β = 29.61°, γ = 29.61°
Positions (direct):
Pm: 0.1267 0.1267 0.1267
Pm: 0.8733 0.8733 0.8733
Th: 0.0000 0.0000 0.0000
In: 0.2624 0.2624 0.2624
In: 0.7376 0.7376 0.7376
Ag: 0.3970 0.3970 0.3970
Ag: 0.6030 0.6030 0.6030

The 10 most intense peaks (10 to 80 degrees two-theta), low angle first:
two_theta, d (Å), I (rel.)
21.19, 4.193, 218
31.04, 2.881, 606
33.57, 2.670, 869
36.69, 2.450, 1000
48.79, 1.866, 173
50.57, 1.805, 272
62.57, 1.485, 163
63.40, 1.467, 332
64.08, 1.453, 265
66.06, 1.414, 175



[6]
The following is a theoretical powder X-ray diffraction pattern of Pr2In3Ag2. It was derived from the GGA-PBE geometry in Alexandria, using Cu Kα, 1.54184 Å.
Peak positions follow from Bragg's law for the DFT cell and can differ from measured ones.

a = 10.4858 Å, b = 10.4858 Å, c = 7.7963 Å
α = 90.00°, β = 90.00°, γ = 154.62°
Positions (direct):
Pr: 0.0524 0.9476 0.7500
Pr: 0.1594 0.8406 0.2500
Pr: 0.8406 0.1594 0.7500
Pr: 0.9476 0.0524 0.2500
In: 0.2230 0.7770 0.7500
In: 0.4367 0.5633 0.5671
In: 0.4367 0.5633 0.9329
In: 0.5633 0.4367 0.0671
In: 0.5633 0.4367 0.4329
In: 0.7770 0.2230 0.2500
Ag: 0.3084 0.6916 0.0555
Ag: 0.3084 0.6916 0.4445
Ag: 0.6916 0.3084 0.5555
Ag: 0.6916 0.3084 0.9445

The 10 most intense peaks (10 to 80 degrees two-theta), low angle first:
two_theta, d (Å), I (rel.)
28.57, 3.124, 210
30.35, 2.945, 974
31.41, 2.848, 1000
32.84, 2.727, 195
35.09, 2.557, 288
38.87, 2.317, 453
39.11, 2.303, 475
43.40, 2.085, 215
56.33, 1.633, 299
65.50, 1.425, 228



[7]
The following is a theoretical powder X-ray diffraction pattern of Pr3In4Ag. It was derived from the GGA-PBE geometry in Alexandria, using Cu Kα, 1.54184 Å.
Peak positions follow from Bragg's law for the DFT cell and can differ from measured ones.

a = 3.6169 Å, b = 6.6409 Å, c = 19.4624 Å
α = 90.00°, β = 90.00°, γ = 90.00°
Positions (direct):
Pr: 0.0000 0.0000 0.0000
Pr: 0.0000 0.5000 0.2377
Pr: 0.0000 0.5000 0.7623
Pr: 0.5000 0.0000 0.2623
Pr: 0.5000 0.0000 0.7377
Pr: 0.5000 0.5000 0.5000
In: 0.0000 0.2467 0.3818
In: 0.0000 0.2467 0.6182
In: 0.0000 0.7533 0.3818
In: 0.0000 0.7533 0.6182
In: 0.5000 0.2533 0.1182
In: 0.5000 0.2533 0.8818
In: 0.5000 0.7467 0.1182
In: 0.5000 0.7467 0.8818
Ag: 0.0000 0.0000 0.5000
Ag: 0.5000 0.5000 0.0000

The 10 most intense peaks (10 to 80 degrees two-theta), low angle first:
two_theta, d (Å), I (rel.)
25.04, 3.556, 177
29.58, 3.020, 765
32.65, 2.743, 1000
33.83, 2.650, 263
36.99, 2.430, 544
39.72, 2.269, 307
49.15, 1.854, 198
55.35, 1.660, 208
56.83, 1.620, 171
61.41, 1.510, 314



[8]
The following is a theoretical powder X-ray diffraction pattern of Pr3In3Ag2. It was derived from the GGA-PBE geometry in Alexandria, using Cu Kα, 1.54184 Å.
Peak positions follow from Bragg's law for the DFT cell and can differ from measured ones.

a = 6.1395 Å, b = 6.1395 Å, c = 16.0954 Å
α = 90.00°, β = 90.00°, γ = 133.79°
Positions (direct):
Pr: 0.0941 0.9059 0.6082
Pr: 0.0941 0.9059 0.8918
Pr: 0.3592 0.6408 0.7500
Pr: 0.6408 0.3592 0.2500
Pr: 0.9059 0.0941 0.1082
Pr: 0.9059 0.0941 0.3918
In: 0.3523 0.6477 0.2500
In: 0.3861 0.6139 0.5410
In: 0.3861 0.6139 0.9590
In: 0.6139 0.3861 0.0410
In: 0.6139 0.3861 0.4590
In: 0.6477 0.3523 0.7500
Ag: 0.2061 0.7939 0.1021
Ag: 0.2061 0.7939 0.3979
Ag: 0.7939 0.2061 0.6021
Ag: 0.7939 0.2061 0.8979

The 10 most intense peaks (10 to 80 degrees two-theta), low angle first:
two_theta, d (Å), I (rel.)
30.00, 2.979, 1000
30.64, 2.917, 413
31.69, 2.824, 249
32.17, 2.782, 180
33.40, 2.683, 247
34.55, 2.596, 649
37.33, 2.409, 521
37.67, 2.388, 489
49.75, 1.833, 190
61.27, 1.513, 192



[9]
The following is a theoretical powder X-ray diffraction pattern of PrIn6Ag. It was derived from the GGA-PBE geometry in Alexandria, using Cu Kα, 1.54184 Å.
Peak positions follow from Bragg's law for the DFT cell and can differ from measured ones.

a = 7.7532 Å, b = 10.9751 Å, c = 4.8603 Å
α = 90.00°, β = 90.00°, γ = 90.00°
Positions (direct):
Pr: 0.0000 0.0000 0.0000
Pr: 0.5000 0.5000 0.0000
In: 0.0000 0.2188 0.5000
In: 0.0000 0.7812 0.5000
In: 0.2016 0.5000 0.5000
In: 0.2500 0.2500 0.0000
In: 0.2500 0.7500 0.0000
In: 0.2984 0.0000 0.5000
In: 0.5000 0.2812 0.5000
In: 0.5000 0.7188 0.5000
In: 0.7016 0.0000 0.5000
In: 0.7500 0.2500 0.0000
In: 0.7500 0.7500 0.0000
In: 0.7984 0.5000 0.5000
Ag: 0.0000 0.5000 0.0000
Ag: 0.5000 0.0000 0.0000

The 10 most intense peaks (10 to 80 degrees two-theta), low angle first:
two_theta, d (Å), I (rel.)
32.64, 2.744, 269
32.74, 2.735, 71
33.79, 2.653, 1000
36.99, 2.430, 222
46.87, 1.938, 83
50.15, 1.819, 156
58.30, 1.583, 97
58.98, 1.566, 142
64.62, 1.442, 145
71.07, 1.326, 73



[10]
The following is a theoretical powder X-ray diffraction pattern of Pr6In2Ag. It was derived from the GGA-PBE geometry in Alexandria, using Cu Kα, 1.54184 Å.
Peak positions follow from Bragg's law for the DFT cell and can differ from measured ones.

a = 10.3888 Å, b = 10.3941 Å, c = 5.2390 Å
α = 90.00°, β = 90.00°, γ = 90.00°
Positions (direct):
Pr: 0.0188 0.1810 0.0000
Pr: 0.1250 0.6243 0.5000
Pr: 0.1810 0.9806 0.5000
Pr: 0.3190 0.4806 0.0000
Pr: 0.3750 0.1243 0.0000
Pr: 0.4812 0.6810 0.5000
Pr: 0.5188 0.3190 0.5000
Pr: 0.6250 0.8757 0.0000
Pr: 0.6810 0.5194 0.0000
Pr: 0.8190 0.0194 0.5000
Pr: 0.8750 0.3757 0.5000
Pr: 0.9812 0.8190 0.0000
In: 0.1991 0.3002 0.5000
In: 0.3009 0.8002 0.0000
In: 0.6991 0.1998 0.0000
In: 0.8009 0.6998 0.5000
Ag: 0.0000 0.5000 0.0000
Ag: 0.5000 0.0000 0.5000

The 10 most intense peaks (10 to 80 degrees two-theta), low angle first:
two_theta, d (Å), I (rel.)
30.96, 2.889, 1000
32.15, 2.784, 184
34.23, 2.619, 224
36.69, 2.449, 218
46.87, 1.938, 73
51.05, 1.789, 168
58.91, 1.568, 90
59.26, 1.559, 137
62.53, 1.485, 78
65.20, 1.431, 59



[11]
The following is a theoretical powder X-ray diffraction pattern of Pr12In5Ag2. It was derived from the GGA-PBE geometry in Alexandria, using Cu Kα, 1.54184 Å.
Peak positions follow from Bragg's law for the DFT cell and can differ from measured ones.

a = 9.6737 Å, b = 9.6737 Å, c = 9.3941 Å
α = 95.68°, β = 95.68°, γ = 44.86°
Positions (direct):
Pr: 0.0000 0.0000 0.1929
Pr: 0.0000 0.0000 0.8071
Pr: 0.0921 0.5827 0.5650
Pr: 0.0988 0.5953 0.9886
Pr: 0.4047 0.9012 0.0114
Pr: 0.4173 0.9079 0.4350
Pr: 0.4611 0.4611 0.3104
Pr: 0.5389 0.5389 0.6896
Pr: 0.5827 0.0921 0.5650
Pr: 0.5953 0.0988 0.9886
Pr: 0.9012 0.4047 0.0114
Pr: 0.9079 0.4173 0.4350
In: 0.2042 0.2042 0.7426
In: 0.2729 0.2729 0.2515
In: 0.5000 0.5000 0.0000
In: 0.7271 0.7271 0.7485
In: 0.7958 0.7958 0.2574
Ag: 0.1793 0.8207 0.5000
Ag: 0.8207 0.1793 0.5000

The 10 most intense peaks (10 to 80 degrees two-theta), low angle first:
two_theta, d (Å), I (rel.)
28.24, 3.161, 238
29.18, 3.060, 307
30.16, 2.964, 390
30.88, 2.896, 1000
31.49, 2.841, 762
32.32, 2.770, 195
33.32, 2.689, 301
34.05, 2.633, 199
45.23, 2.005, 195
49.38, 1.845, 194



[12]
The following is a theoretical powder X-ray diffraction pattern of Pr2InAg3. It was derived from the GGA-PBE geometry in Alexandria, using Cu Kα, 1.54184 Å.
Peak positions follow from Bragg's law for the DFT cell and can differ from measured ones.

a = 9.9395 Å, b = 9.2969 Å, c = 6.0429 Å
α = 77.59°, β = 65.99°, γ = 36.42°
Positions (direct):
Pr: 0.2431 0.7569 0.7569
Pr: 0.2500 0.2500 0.2500
Pr: 0.7500 0.7500 0.7500
Pr: 0.7569 0.2431 0.2431
In: 0.3336 0.3336 0.6664
In: 0.6664 0.6664 0.3336
Ag: 0.1666 0.1666 0.8334
Ag: 0.1676 0.6672 0.3328
Ag: 0.3328 0.8324 0.1676
Ag: 0.6672 0.1676 0.8324
Ag: 0.8324 0.3328 0.6672
Ag: 0.8334 0.8334 0.1666

The 10 most intense peaks (10 to 80 degrees two-theta), low angle first:
two_theta, d (Å), I (rel.)
33.16, 2.702, 1000
36.15, 2.485, 551
36.35, 2.472, 271
49.77, 1.832, 106
49.98, 1.825, 204
63.04, 1.475, 98
63.18, 1.472, 102
63.39, 1.467, 99
65.27, 1.430, 93
65.55, 1.424, 183



[13]
The following is a theoretical powder X-ray diffraction pattern of Sc4InAg2Pt. It was derived from the GGA-PBE geometry in Alexandria, using Cu Kα, 1.54184 Å.
Peak positions follow from Bragg's law for the DFT cell and can differ from measured ones.

a = 8.3802 Å, b = 8.3802 Å, c = 8.3802 Å
α = 33.69°, β = 33.69°, γ = 33.69°
Positions (direct):
Sc: 0.1158 0.1158 0.1158
Sc: 0.3683 0.3683 0.3683
Sc: 0.6317 0.6317 0.6317
Sc: 0.8842 0.8842 0.8842
In: 0.5000 0.5000 0.5000
Ag: 0.2416 0.2416 0.2416
Ag: 0.7584 0.7584 0.7584
Pt: 0.0000 0.0000 0.0000

The 10 most intense peaks (10 to 80 degrees two-theta), low angle first:
two_theta, d (Å), I (rel.)
25.98, 3.430, 609
37.02, 2.429, 1000
37.13, 2.422, 899
45.78, 1.982, 138
53.43, 1.715, 302
60.27, 1.536, 122
60.43, 1.532, 114
66.76, 1.401, 466
67.00, 1.397, 111
78.82, 1.214, 102



[14]
The following is a theoretical powder X-ray diffraction pattern of TbInAgPt. It was derived from the GGA-PBE geometry in Alexandria, using Cu Kα, 1.54184 Å.
Peak positions follow from Bragg's law for the DFT cell and can differ from measured ones.

a = 6.9091 Å, b = 6.9091 Å, c = 6.9091 Å
α = 90.00°, β = 90.00°, γ = 90.00°
Positions (direct):
Tb: 0.0000 0.0000 0.0000
Tb: 0.0000 0.5000 0.5000
Tb: 0.5000 0.0000 0.5000
Tb: 0.5000 0.5000 0.0000
In: 0.0000 0.0000 0.5000
In: 0.0000 0.5000 0.0000
In: 0.5000 0.0000 0.0000
In: 0.5000 0.5000 0.5000
Ag: 0.2500 0.2500 0.7500
Ag: 0.2500 0.7500 0.2500
Ag: 0.7500 0.2500 0.2500
Ag: 0.7500 0.7500 0.7500
Pt: 0.2500 0.2500 0.2500
Pt: 0.2500 0.7500 0.7500
Pt: 0.7500 0.2500 0.7500
Pt: 0.7500 0.7500 0.2500

The 8 most intense peaks (10 to 80 degrees two-theta), low angle first:
two_theta, d (Å), I (rel.)
22.29, 3.989, 54
36.79, 2.443, 1000
43.44, 2.083, 31
53.02, 1.727, 173
58.20, 1.585, 14
66.27, 1.410, 351
70.87, 1.330, 11
78.28, 1.221, 110